Entry 1:
Starting from a structure optimized by DFT (PBE), the XRD peak list of Pr12Pt6Pb was simulated for λ = 1.5418 Å (Cu Kα).

Largest 12 diffraction maxima, by angle, 5 to 70 degrees two-theta:
| d_spacing | I/Imax |
| --- | --- |
| 7.399 | 8 |
| 5.232 | 19 |
| 3.021 | 12 |
| 2.797 | 100 |
| 2.616 | 10 |
| 2.466 | 14 |
| 2.052 | 34 |
| 1.795 | 9 |
| 1.744 | 16 |
| 1.698 | 19 |
| 1.615 | 6 |
| 1.480 | 14 |

Atomic structure:
Cell lengths 9.0623, 9.0623, 9.0623 Å; angles 109.47, 109.47, 109.47 degrees
Positions (direct):
Pr 0.1248 0.3051 0.8196
Pr 0.1804 0.4855 0.3051
Pr 0.1804 0.8752 0.6949
Pr 0.3051 0.1804 0.4855
Pr 0.3051 0.8196 0.1248
Pr 0.4855 0.3051 0.1804
Pr 0.5145 0.6949 0.8196
Pr 0.6949 0.1804 0.8752
Pr 0.6949 0.8196 0.5145
Pr 0.8196 0.1248 0.3051
Pr 0.8196 0.5145 0.6949
Pr 0.8752 0.6949 0.1804
Pt 0.1341 0.5000 0.6341
Pt 0.3659 0.8659 0.5000
Pt 0.5000 0.3659 0.8659
Pt 0.5000 0.6341 0.1341
Pt 0.6341 0.1341 0.5000
Pt 0.8659 0.5000 0.3659
Pb 0.0000 0.0000 0.0000

---

Entry 2:
Starting from a structure optimized by DFT (PBE), the XRD peak list of Nb2MoHPd was simulated for λ = 1.5418 Å (Cu Kα).

Largest 5 diffraction maxima, by angle, 5 to 70 degrees two-theta:
| d_spacing | I/Imax |
| --- | --- |
| 2.358 | 100 |
| 2.190 | 41 |
| 1.819 | 11 |
| 1.548 | 13 |
| 1.399 | 19 |

Atomic structure:
Cell lengths 4.3798, 4.3798, 3.6379 Å; angles 90.00, 90.00, 90.00 degrees
Positions (direct):
Nb 0.0000 0.5000 0.0000
Nb 0.5000 0.0000 0.0000
Mo 0.0000 0.0000 0.5000
H 0.5000 0.5000 0.0000
Pd 0.5000 0.5000 0.5000

---

Entry 3:
Starting from a structure optimized by DFT (PBE), the XRD peak list of Li3Tb2Zn4 was simulated for λ = 1.5418 Å (Cu Kα).

Largest 12 diffraction maxima, by angle, 5 to 70 degrees two-theta:
| d_spacing | I/Imax |
| --- | --- |
| 4.397 | 57 |
| 3.819 | 38 |
| 3.560 | 24 |
| 3.194 | 24 |
| 2.749 | 55 |
| 2.544 | 100 |
| 2.531 | 74 |
| 2.495 | 50 |
| 2.295 | 52 |
| 2.255 | 33 |
| 1.815 | 27 |
| 1.540 | 33 |

Atomic structure:
Cell lengths 8.1336, 8.1336, 8.0481 Å; angles 90.00, 90.00, 139.81 degrees
Positions (direct):
Li 0.0000 0.0000 0.0000
Li 0.0308 0.4692 0.2500
Li 0.4692 0.0308 0.7500
Li 0.5000 0.5000 0.5000
Li 0.5308 0.9692 0.2500
Li 0.9692 0.5308 0.7500
Tb 0.1131 0.8869 0.4139
Tb 0.3869 0.6131 0.9139
Tb 0.6131 0.3869 0.0861
Tb 0.8869 0.1131 0.5861
Zn 0.1819 0.8181 0.0283
Zn 0.1976 0.3024 0.2500
Zn 0.3024 0.1976 0.7500
Zn 0.3181 0.6819 0.5283
Zn 0.6819 0.3181 0.4717
Zn 0.6976 0.8024 0.2500
Zn 0.8024 0.6976 0.7500
Zn 0.8181 0.1819 0.9717

---

Entry 4:
Starting from a structure optimized by DFT (PBE), the XRD peak list of In2SCl2 was simulated for λ = 1.5418 Å (Cu Kα).

Largest 12 diffraction maxima, by angle, 5 to 70 degrees two-theta:
| d_spacing | I/Imax |
| --- | --- |
| 12.222 | 35 |
| 6.111 | 100 |
| 4.967 | 25 |
| 4.206 | 39 |
| 3.705 | 100 |
| 3.550 | 31 |
| 3.411 | 26 |
| 2.952 | 41 |
| 2.580 | 34 |
| 2.358 | 25 |
| 2.270 | 26 |
| 2.206 | 27 |

Atomic structure:
Cell lengths 12.4192, 7.4191, 7.2295 Å; angles 90.00, 100.22, 90.00 degrees
Positions (direct):
In 0.0300 0.1646 0.3315
In 0.0300 0.3354 0.8315
In 0.3792 0.5127 0.2147
In 0.3792 0.9873 0.7147
In 0.6208 0.0127 0.2853
In 0.6208 0.4873 0.7853
In 0.9700 0.6646 0.1685
In 0.9700 0.8354 0.6685
S 0.0937 0.6523 0.9058
S 0.0937 0.8477 0.4058
S 0.9063 0.1523 0.5942
S 0.9063 0.3477 0.0942
Cl 0.1591 0.1356 0.0357
Cl 0.1591 0.3644 0.5357
Cl 0.4910 0.2495 0.4960
Cl 0.4910 0.2505 0.9960
Cl 0.5090 0.7495 0.0040
Cl 0.5090 0.7505 0.5040
Cl 0.8409 0.6356 0.4643
Cl 0.8409 0.8644 0.9643

---

Entry 5:
Starting from a structure optimized by DFT (PBE), the XRD peak list of Sc8Co2As was simulated for λ = 1.5418 Å (Cu Kα).

Largest 12 diffraction maxima, by angle, 5 to 70 degrees two-theta:
| d_spacing | I/Imax |
| --- | --- |
| 5.266 | 63 |
| 4.657 | 40 |
| 3.882 | 47 |
| 2.678 | 93 |
| 2.633 | 62 |
| 2.522 | 96 |
| 2.467 | 97 |
| 2.394 | 100 |
| 2.328 | 71 |
| 2.255 | 70 |
| 2.095 | 66 |
| 2.050 | 62 |

Atomic structure:
Cell lengths 6.9084, 6.9084, 5.5468 Å; angles 100.04, 100.04, 112.57 degrees
Positions (direct):
Sc 0.0000 0.0000 0.0000
Sc 0.0208 0.2917 0.5786
Sc 0.1389 0.5909 0.1822
Sc 0.2917 0.0208 0.5786
Sc 0.4409 0.7065 0.7817
Sc 0.5909 0.1389 0.1822
Sc 0.7065 0.4409 0.7817
Sc 0.7429 0.7429 0.3809
Co 0.0558 0.6828 0.6976
Co 0.6828 0.0558 0.6976
As 0.3686 0.3686 0.3610

---

Entry 6:
Starting from a structure optimized by DFT (PBE), the XRD peak list of CaAg4Ru4O12 was simulated for λ = 1.5418 Å (Cu Kα).

Largest 12 diffraction maxima, by angle, 5 to 70 degrees two-theta:
| d_spacing | I/Imax |
| --- | --- |
| 6.002 | 11 |
| 5.180 | 16 |
| 3.001 | 100 |
| 2.959 | 39 |
| 2.590 | 50 |
| 2.389 | 10 |
| 2.118 | 13 |
| 2.001 | 12 |
| 1.841 | 25 |
| 1.822 | 26 |
| 1.563 | 17 |
| 1.551 | 11 |

Atomic structure:
Cell lengths 7.2875, 7.2875, 7.2875 Å; angles 60.70, 60.70, 60.70 degrees
Positions (direct):
Ca 0.0000 0.0000 0.0000
Ag 0.2439 0.2439 0.2439
Ag 0.2581 0.2581 0.6271
Ag 0.2581 0.6271 0.2581
Ag 0.6271 0.2581 0.2581
Ru 0.2242 0.7127 0.7127
Ru 0.7127 0.2242 0.7127
Ru 0.7127 0.7127 0.2242
Ru 0.7184 0.7184 0.7184
O 0.0340 0.6506 0.6506
O 0.0402 0.0402 0.6510
O 0.0402 0.6510 0.0402
O 0.3894 0.7951 0.7951
O 0.4020 0.4020 0.7837
O 0.4020 0.7837 0.4020
O 0.6506 0.0340 0.6506
O 0.6510 0.0402 0.0402
O 0.6506 0.6506 0.0340
O 0.7837 0.4020 0.4020
O 0.7951 0.3894 0.7951
O 0.7951 0.7951 0.3894

---

Entry 7:
Starting from a structure optimized by DFT (PBE), the XRD peak list of Al6Co5Tc was simulated for λ = 1.5418 Å (Cu Kα).

Largest 12 diffraction maxima, by angle, 5 to 70 degrees two-theta:
| d_spacing | I/Imax |
| --- | --- |
| 6.123 | 1 |
| 5.822 | 1 |
| 4.219 | 1 |
| 3.867 | 1 |
| 3.221 | 2 |
| 2.911 | 13 |
| 2.884 | 26 |
| 2.049 | 100 |
| 2.039 | 49 |
| 1.670 | 9 |
| 1.456 | 8 |
| 1.442 | 15 |

Atomic structure:
Cell lengths 6.4532, 6.4532, 5.8221 Å; angles 90.00, 90.00, 143.18 degrees
Positions (direct):
Al 0.0000 0.0000 0.2415
Al 0.0000 0.0000 0.7585
Al 0.3313 0.6687 0.2482
Al 0.3313 0.6687 0.7518
Al 0.6687 0.3313 0.2482
Al 0.6687 0.3313 0.7518
Co 0.1687 0.8313 0.0000
Co 0.1687 0.8313 0.5000
Co 0.5000 0.5000 0.0000
Co 0.8313 0.1687 0.0000
Co 0.8313 0.1687 0.5000
Tc 0.5000 0.5000 0.5000

---

Entry 8:
Starting from a structure optimized by DFT (PBE), the XRD peak list of GaPtI6 was simulated for λ = 1.5418 Å (Cu Kα).

Largest 12 diffraction maxima, by angle, 5 to 70 degrees two-theta:
| d_spacing | I/Imax |
| --- | --- |
| 6.403 | 69 |
| 6.220 | 100 |
| 3.393 | 25 |
| 3.360 | 79 |
| 3.150 | 36 |
| 2.998 | 48 |
| 2.908 | 29 |
| 2.647 | 37 |
| 2.506 | 26 |
| 2.447 | 26 |
| 2.331 | 29 |
| 2.074 | 63 |

Atomic structure:
Cell lengths 7.2011, 12.8066, 7.1448 Å; angles 90.00, 98.80, 90.00 degrees
Positions (direct):
Ga 0.0000 0.0000 0.0000
Ga 0.5000 0.5000 0.0000
Pt 0.0000 0.0000 0.5000
Pt 0.5000 0.5000 0.5000
I 0.1430 0.1442 0.2920
I 0.1430 0.8558 0.2920
I 0.1787 0.5000 0.1851
I 0.3213 0.0000 0.8149
I 0.3570 0.3558 0.7080
I 0.3570 0.6442 0.7080
I 0.6430 0.3558 0.2920
I 0.6430 0.6442 0.2920
I 0.6787 0.0000 0.1851
I 0.8213 0.5000 0.8149
I 0.8570 0.1442 0.7080
I 0.8570 0.8558 0.7080